No. 1
Simulated X-ray diffraction stick pattern of MgZn2AgWO6 for a wavelength of 1.5418 Å, from the PBE+U geometry in the Materials Project.

a b c (Å): 5.4345 5.5156 5.9337
angles (deg): 62.62 65.90 61.25
Space group P1 (No. 1)
Inequivalent atoms, fractional coordinates:
Mg 0.0000 0.0000 0.0000
Zn 0.6036 0.5804 0.2358
Zn 0.7970 0.7889 0.5966
Ag 0.4033 0.3983 0.7928
W 0.2038 0.1811 0.4304
O 0.0636 0.8540 0.6845
O 0.2552 0.5610 0.2216
O 0.4010 0.0354 0.7148
O 0.5988 0.9348 0.2376
O 0.8601 0.3841 0.6818
O 0.9563 0.2412 0.2104

Top 10 peaks for 10° ≤ 2θ ≤ 90°, low angle first:
d_spacing, Rel. int., hkl
5.114, 70, 0 0 1
2.784, 96, 1 -1 0
2.757, 93, 1 2 1
2.713, 87, 2 1 1
2.631, 88, 0 1 2
2.606, 88, 1 1 -1
2.507, 100, 1 0 2
1.939, 48, 2 0 -1
1.868, 36, 0 2 -1
1.570, 43, 3 3 2

=====

No. 2
Simulated X-ray diffraction stick pattern of Li17Cr2O12 for a wavelength of 1.5418 Å, from the PBE+U geometry in the Materials Project.

a b c (Å): 5.4771 5.9324 8.0788
angles (deg): 96.65 90.03 90.30
Space group P1 (No. 1)
Inequivalent atoms, fractional coordinates:
Li 0.0000 0.0000 0.0000
Li 0.0053 0.9961 0.4952
Li 0.0134 0.3517 0.8208
Li 0.1508 0.9423 0.7604
Li 0.1941 0.2860 0.1020
Li 0.2023 0.6174 0.4514
Li 0.3148 0.2377 0.3630
Li 0.3344 0.5935 0.7287
Li 0.3796 0.8967 0.0339
Li 0.4927 0.8538 0.3156
Li 0.5201 0.5100 0.0096
Li 0.6521 0.4559 0.2875
Li 0.6602 0.1381 0.9482
Li 0.6762 0.7645 0.5873
Li 0.8034 0.7226 0.8572
Li 0.8288 0.1010 0.2377
Li 0.8705 0.4088 0.5365
Cr 0.0079 0.6747 0.1621
Cr 0.5031 0.1801 0.6544
O 0.1436 0.6951 0.9191
O 0.1645 0.9972 0.2200
O 0.2042 0.3359 0.5840
O 0.3275 0.5287 0.2343
O 0.3364 0.1744 0.8880
O 0.3539 0.8775 0.5800
O 0.6488 0.1824 0.4336
O 0.6569 0.4728 0.7311
O 0.7069 0.8470 0.0798
O 0.8069 0.0167 0.7400
O 0.8493 0.3562 0.0861
O 0.8675 0.6776 0.3978

Top 10 peaks for 10° ≤ 2θ ≤ 90°, low angle first:
d_spacing, Rel. int., hkl
5.036, 35, 0 1 -1
4.518, 100, 0 1 1
4.017, 45, 1 -1 0
4.001, 22, 1 1 0
2.407, 59, 2 -1 1
2.393, 28, 1 2 1
1.857, 20, 2 -2 2
1.853, 27, 1 1 -4
1.846, 18, 1 3 0
1.576, 25, 0 2 4

=====

No. 3
Simulated X-ray diffraction stick pattern of Ba4Pr4Co8O23 for a wavelength of 1.5418 Å, from the PBE+U geometry in the Materials Project.

a b c (Å): 7.8797 7.8797 7.8242
angles (deg): 90.00 90.00 90.00
Space group P4/mmm (No. 123)
Inequivalent atoms, fractional coordinates:
Ba 0.2478 0.2478 0.0000
Pr 0.2373 0.2373 0.5000
Co 0.0000 0.0000 0.2520
Co 0.0000 0.5000 0.2547
Co 0.5000 0.5000 0.2599
O 0.0000 0.0000 0.0000
O 0.0000 0.0000 0.5000
O 0.0000 0.2469 0.2726
O 0.0000 0.5000 0.0000
O 0.0000 0.5000 0.5000
O 0.2684 0.5000 0.2925
O 0.5000 0.5000 0.0000

Top 10 peaks for 10° ≤ 2θ ≤ 90°, low angle first:
d_spacing, Rel. int., hkl
3.940, 12, 2 0 0
2.786, 48, 2 2 0
2.776, 100, 2 0 2
2.269, 23, 2 2 2
1.970, 31, 4 0 0
1.956, 14, 0 0 4
1.607, 37, 4 2 2
1.601, 20, 2 2 4
1.388, 17, 4 0 4
1.245, 15, 6 0 2

=====

No. 4
Simulated X-ray diffraction stick pattern of Li2CoCuO4 for a wavelength of 1.5418 Å, from the PBE+U geometry in the Materials Project.

a b c (Å): 5.7225 5.8156 8.2079
angles (deg): 90.00 90.00 90.00
Space group Imma (No. 74)
Inequivalent atoms, fractional coordinates:
Li 0.0000 0.0000 0.0000
Li 0.2500 0.2500 0.2500
Co 0.2500 0.2500 0.7500
Cu 0.0000 0.0000 0.5000
O 0.0000 0.0233 0.7461
O 0.2411 0.2500 0.5144

Top 10 peaks for 10° ≤ 2θ ≤ 90°, low angle first:
d_spacing, Rel. int., hkl
4.745, 100, 0 1 1
4.694, 99, 1 0 1
2.473, 46, 1 2 1
2.468, 17, 1 0 3
2.450, 25, 2 1 1
2.373, 23, 0 2 2
2.347, 22, 2 0 2
2.052, 49, 0 0 4
2.039, 96, 2 2 0
1.447, 52, 2 2 4

=====

No. 5
Simulated X-ray diffraction stick pattern of MgMn4Fe2O8 for a wavelength of 1.5418 Å, from the PBE+U geometry in the Materials Project.

a b c (Å): 6.0477 6.1227 6.3890
angles (deg): 115.67 92.67 119.18
Space group P-1 (No. 2)
Inequivalent atoms, fractional coordinates:
Mg 0.0000 0.0000 0.0000
Mn 0.0000 0.5000 0.0000
Mn 0.1802 0.3230 0.4652
Mn 0.5000 0.5000 0.0000
Fe 0.5000 0.0000 0.0000
Fe 0.5000 0.0000 0.5000
O 0.2347 0.9868 0.7675
O 0.2688 0.0012 0.2413
O 0.2706 0.4784 0.2202
O 0.2887 0.5634 0.8267

Top 10 peaks for 10° ≤ 2θ ≤ 90°, low angle first:
d_spacing, Rel. int., hkl
2.736, 62, 1 -2 0
2.721, 85, 0 0 2
2.695, 100, 1 1 0
2.668, 56, 1 1 -2
2.615, 49, 2 0 -1
2.279, 81, 0 2 0
2.240, 60, 2 0 -2
2.142, 67, 2 -2 2
1.662, 48, -2 2 2
1.527, 50, 2 -4 2

=====

No. 6
Simulated X-ray diffraction stick pattern of Cr3CuO8 for a wavelength of 1.5418 Å, from the PBE+U geometry in the Materials Project.

a b c (Å): 8.3827 5.5620 6.6072
angles (deg): 90.00 94.27 90.00
Space group C2/m (No. 12)
Inequivalent atoms, fractional coordinates:
Cr 0.0000 0.0000 0.0000
Cr 0.1532 0.5000 0.2318
Cu 0.0000 0.0000 0.5000
O 0.0372 0.2453 0.2250
O 0.2279 0.0000 0.5587
O 0.2328 0.0000 0.9632

Top 10 peaks for 10° ≤ 2θ ≤ 90°, low angle first:
d_spacing, Rel. int., hkl
4.631, 46, 1 1 0
3.864, 100, 1 1 -1
3.717, 40, 1 1 1
3.655, 35, 2 0 -1
3.416, 41, 2 0 1
2.781, 65, 0 2 0
2.738, 72, 1 1 -2
2.634, 84, 1 1 2
2.491, 74, 3 1 0
1.456, 27, 4 2 2

=====

No. 7
Simulated X-ray diffraction stick pattern of MoPb2O5 for a wavelength of 1.5418 Å, from the PBE+U geometry in the Materials Project.

a b c (Å): 14.3873 5.9319 7.5001
angles (deg): 90.00 112.23 90.00
Space group C2/m (No. 12)
Inequivalent atoms, fractional coordinates:
Mo 0.1703 0.0000 0.1592
Pb 0.0091 0.5000 0.7489
Pb 0.1352 0.0000 0.6121
O 0.0000 0.2532 0.5000
O 0.0927 0.0000 0.9035
O 0.1457 0.2418 0.2785
O 0.1990 0.5000 0.8062

Top 10 peaks for 10° ≤ 2θ ≤ 90°, low angle first:
d_spacing, Rel. int., hkl
6.659, 15, 2 0 0
3.554, 100, 3 1 0
3.152, 69, 1 1 -2
3.047, 15, 4 0 -2
2.969, 61, 0 2 0
2.689, 18, 2 0 2
2.125, 19, 4 2 -2
1.992, 21, 2 2 2
1.806, 15, 3 3 0
1.731, 21, 5 1 2